Entry 1:
This entry pairs a crystal structure of Na2SbF5 with its computed powder diffractogram. Radiation: λ = 1.5418 Å (Cu Kα). Structure: a crystal structure in Alexandria, relaxed with PBE.

The 10 most intense peaks (10° ≤ 2θ ≤ 90°), low angle first:
Position (°2θ)  Rel. int.
17.8  54
18.9  100
20.8  84
21.7  36
27.0  73
28.4  55
40.0  37
44.3  22
46.1  40
47.3  32

Crystal structure
Unit cell a=5.5535 b=8.2078 c=11.4079 alpha=90.00 beta=90.00 gamma=90.00
Fractional coordinates of all 32 atoms:
Na 0.0119 0.1012 0.2389
Na 0.0674 0.6432 0.9361
Na 0.4326 0.3568 0.4361
Na 0.4881 0.8988 0.7389
Na 0.5119 0.3988 0.7611
Na 0.5674 0.8568 0.0639
Na 0.9326 0.1432 0.5639
Na 0.9881 0.6012 0.2611
Sb 0.0012 0.5765 0.6162
Sb 0.4988 0.4235 0.1162
Sb 0.5012 0.9235 0.3838
Sb 0.9988 0.0765 0.8838
F 0.1068 0.0065 0.7149
F 0.1484 0.5577 0.4442
F 0.1736 0.3536 0.1993
F 0.1867 0.3644 0.6251
F 0.2328 0.1008 0.4285
F 0.2672 0.8992 0.9285
F 0.3133 0.6356 0.1251
F 0.3264 0.6464 0.6993
F 0.3516 0.4423 0.9442
F 0.3932 0.9935 0.2149
F 0.6068 0.4935 0.2851
F 0.6484 0.9423 0.5558
F 0.6736 0.1464 0.8007
F 0.6867 0.1356 0.3749
F 0.7328 0.3992 0.5715
F 0.7672 0.6008 0.0715
F 0.8133 0.8644 0.8749
F 0.8264 0.8536 0.3007
F 0.8516 0.0577 0.0558
F 0.8932 0.5065 0.7851

=====

Entry 2:
This entry pairs a crystal structure of Na2Sr4Sb3F2 with its computed powder diffractogram. Radiation: λ = 1.5418 Å (Cu Kα). Structure: a crystal structure in Alexandria, relaxed with PBE.

The 10 most intense peaks (10° ≤ 2θ ≤ 90°), low angle first:
Position (°2θ)  Rel. int.
14.0  16
17.4  37
24.5  28
30.0  23
32.2  100
34.4  60
42.8  18
49.4  21
56.0  26
60.2  33

Crystal structure
Unit cell a=13.2084 b=13.2084 c=13.2084 alpha=157.22 beta=157.22 gamma=32.43
Fractional coordinates of all 11 atoms:
Na 0.2077 0.2077 0.0000
Na 0.7923 0.7923 0.0000
Sr 0.0876 0.5876 0.5000
Sr 0.4124 0.9124 0.5000
Sr 0.5876 0.0876 0.5000
Sr 0.9124 0.4124 0.5000
Sb 0.3309 0.3309 0.0000
Sb 0.5000 0.5000 0.0000
Sb 0.6691 0.6691 0.0000
F 0.0907 0.0907 0.0000
F 0.9093 0.9093 0.0000

=====

> Number 1 is which compound?

Na2SbF5